No. 1
For Cu4BiSe4I, a cell relaxed with GGA-PBE gives the simulated powder diffraction line list in this record (Cu Kα (λ = 1.5418 Å)).

Top 12 peaks for 15° ≤ 2θ ≤ 90°, most intense first:
- 28.65°, intensity 100.0
- 26.18°, intensity 81.6
- 47.65°, intensity 64.2
- 43.92°, intensity 55.1
- 30.49°, intensity 53.5
- 26.65°, intensity 41.7
- 24.89°, intensity 37.5
- 48.69°, intensity 34.4
- 46.16°, intensity 28.1
- 27.84°, intensity 26.1
- 29.95°, intensity 21.3
- 44.91°, intensity 20.4

Structural model:
abc: 9.709 4.123 23.084
angles: 90.00 90.00 90.00
Atoms (fractional coordinates):
Cu 0.020 0.250 0.238
Cu 0.039 0.250 0.970
Cu 0.146 0.250 0.794
Cu 0.149 0.250 0.404
Cu 0.351 0.750 0.904
Cu 0.354 0.750 0.294
Cu 0.461 0.750 0.470
Cu 0.480 0.750 0.738
Cu 0.520 0.250 0.262
Cu 0.539 0.250 0.530
Cu 0.646 0.250 0.706
Cu 0.649 0.250 0.096
Cu 0.851 0.750 0.596
Cu 0.854 0.750 0.206
Cu 0.961 0.750 0.030
Cu 0.980 0.750 0.762
Bi 0.220 0.250 0.624
Bi 0.280 0.750 0.124
Bi 0.720 0.250 0.876
Bi 0.780 0.750 0.376
Se 0.040 0.750 0.659
Se 0.043 0.250 0.079
Se 0.142 0.750 0.845
Se 0.159 0.750 0.230
Se 0.341 0.250 0.730
Se 0.358 0.250 0.345
Se 0.457 0.750 0.579
Se 0.460 0.250 0.159
Se 0.540 0.750 0.841
Se 0.543 0.250 0.421
Se 0.642 0.750 0.655
Se 0.659 0.750 0.270
Se 0.841 0.250 0.770
Se 0.858 0.250 0.155
Se 0.957 0.750 0.921
Se 0.960 0.250 0.341
I 0.184 0.750 0.474
I 0.316 0.250 0.974
I 0.684 0.750 0.026
I 0.816 0.250 0.526

=====

No. 2
For SmP3H5NO10, a cell relaxed with GGA-PBE gives the simulated powder diffraction line list in this record (Cu Kα (λ = 1.5418 Å)).

Top 12 peaks for 15° ≤ 2θ ≤ 90°, most intense first:
- 28.39°, intensity 100.0
- 28.56°, intensity 91.8
- 26.82°, intensity 66.3
- 29.53°, intensity 56.5
- 30.47°, intensity 45.7
- 26.31°, intensity 42.1
- 24.30°, intensity 41.0
- 21.68°, intensity 35.4
- 28.92°, intensity 35.2
- 54.12°, intensity 27.9
- 29.30°, intensity 27.6
- 25.38°, intensity 24.4

Structural model:
abc: 6.936 7.629 8.509
angles: 72.97 73.76 82.47
Atoms (fractional coordinates):
Sm 0.229 0.131 0.006
Sm 0.771 0.869 0.994
P 0.145 0.532 0.143
P 0.327 0.804 0.840
P 0.329 0.724 0.318
P 0.671 0.276 0.682
P 0.673 0.196 0.160
P 0.855 0.468 0.857
H 0.114 0.241 0.437
H 0.138 0.105 0.629
H 0.190 0.325 0.573
H 0.310 0.691 0.585
H 0.347 0.186 0.467
H 0.653 0.814 0.533
H 0.690 0.309 0.415
H 0.810 0.675 0.427
H 0.862 0.895 0.371
H 0.886 0.759 0.563
N 0.196 0.213 0.527
N 0.804 0.787 0.473
O 0.044 0.349 0.832
O 0.127 0.328 0.184
O 0.131 0.927 0.868
O 0.197 0.892 0.259
O 0.251 0.634 0.514
O 0.275 0.593 0.948
O 0.288 0.556 0.251
O 0.411 0.798 0.659
O 0.448 0.254 0.737
O 0.465 0.866 0.924
O 0.535 0.134 0.076
O 0.552 0.746 0.263
O 0.589 0.202 0.341
O 0.712 0.444 0.749
O 0.725 0.407 0.052
O 0.749 0.366 0.486
O 0.803 0.108 0.741
O 0.869 0.073 0.132
O 0.873 0.672 0.816
O 0.956 0.651 0.168